This entry pairs a crystal structure of Zr9Pd11 with its calculated X-ray powder pattern. Radiation: λ = 1.5418 Å (Cu Kα). Structure: a structure optimized by DFT (GGA-PBE).
No peak broadening, texture or thermal motion is included.

Structural model:
Lattice parameters (Å, degrees): 8.1441 8.1441 8.1441 100.25 100.25 130.11
Fractional positions:
Zr 0.0000 0.0000 0.0000
Zr 0.0946 0.6926 0.7872
Zr 0.2415 0.4165 0.6579
Zr 0.3074 0.0946 0.4020
Zr 0.4165 0.7585 0.1750
Zr 0.5835 0.2415 0.8250
Zr 0.6926 0.9054 0.5980
Zr 0.7585 0.5835 0.3421
Zr 0.9054 0.3074 0.2128
Pd 0.0115 0.6742 0.1100
Pd 0.0985 0.9885 0.6627
Pd 0.2500 0.7500 0.5000
Pd 0.3258 0.4358 0.3373
Pd 0.4358 0.0985 0.1100
Pd 0.5000 0.5000 0.0000
Pd 0.5642 0.9015 0.8900
Pd 0.6742 0.5642 0.6627
Pd 0.7500 0.2500 0.5000
Pd 0.9015 0.0115 0.3373
Pd 0.9885 0.3258 0.8900

Top 6 peaks for 2θ from 10° to 90°, low angle first:
- 33.58 deg, I 8
- 37.79 deg, I 100
- 38.55 deg, I 47
- 55.66 deg, I 11
- 67.73 deg, I 12
- 69.25 deg, I 18

---

This entry pairs a crystal structure of Pm7TmIn2 with its calculated X-ray powder pattern. Radiation: λ = 1.5418 Å (Cu Kα). Structure: a structure optimized by DFT (GGA-PBE).
No peak broadening, texture or thermal motion is included.

Structural model:
Lattice parameters (Å, degrees): 9.2508 9.2508 5.3725 90.00 90.00 119.64
Fractional positions:
Pm 0.0000 0.0000 0.0000
Pm 0.1987 0.4381 0.0000
Pm 0.2775 0.7225 0.5000
Pm 0.4381 0.1987 0.0000
Pm 0.5619 0.8013 0.0000
Pm 0.7225 0.2775 0.5000
Pm 0.8013 0.5619 0.0000
Tm 0.5000 0.5000 0.5000
In 0.1952 0.8048 0.0000
In 0.8048 0.1952 0.0000

Top 6 peaks for 2θ from 10° to 90°, low angle first:
- 27.81 deg, I 54
- 29.46 deg, I 73
- 33.37 deg, I 66
- 33.85 deg, I 76
- 34.01 deg, I 100
- 45.08 deg, I 63

---

This entry pairs a crystal structure of TbSm4Y3 with its calculated X-ray powder pattern. Radiation: λ = 1.5418 Å (Cu Kα). Structure: a structure optimized by DFT (GGA-PBE).
No peak broadening, texture or thermal motion is included.

Structural model:
Lattice parameters (Å, degrees): 11.4990 7.3357 6.3390 90.00 90.00 90.00
Fractional positions:
Tb 0.0000 0.1246 0.0000
Tb 0.5000 0.8754 0.5000
Sm 0.0000 0.3743 0.5031
Sm 0.0000 0.6260 0.0025
Sm 0.2499 0.3743 0.8337
Sm 0.2501 0.6257 0.3337
Sm 0.5000 0.3740 0.5025
Sm 0.5000 0.6257 0.0031
Sm 0.7501 0.3743 0.8337
Sm 0.7499 0.6257 0.3337
Y 0.0000 0.8769 0.4999
Y 0.2502 0.1237 0.3348
Y 0.2498 0.8763 0.8348
Y 0.5000 0.1231 0.9999
Y 0.7498 0.1237 0.3348
Y 0.7502 0.8763 0.8348

Top 6 peaks for 2θ from 10° to 90°, low angle first:
- 28.12 deg, I 24
- 31.11 deg, I 24
- 32.22 deg, I 100
- 42.43 deg, I 16
- 56.06 deg, I 21
- 59.87 deg, I 22

---

This entry pairs a crystal structure of Pm3Er2Tl with its calculated X-ray powder pattern. Radiation: λ = 1.5418 Å (Cu Kα). Structure: a structure optimized by DFT (GGA-PBE).
No peak broadening, texture or thermal motion is included.

Structural model:
Lattice parameters (Å, degrees): 9.3015 9.3015 6.4825 98.55 98.55 43.10
Fractional positions:
Pm 0.0511 0.2868 0.0419
Pm 0.2277 0.7723 0.7500
Pm 0.2868 0.0511 0.5419
Pm 0.7132 0.9489 0.4581
Pm 0.7723 0.2277 0.2500
Pm 0.9489 0.7132 0.9581
Er 0.2284 0.4470 0.4290
Er 0.4470 0.2284 0.9290
Er 0.5530 0.7716 0.0710
Er 0.7716 0.5530 0.5710
Tl 0.2841 0.7159 0.2500
Tl 0.7159 0.2841 0.7500

Top 6 peaks for 2θ from 10° to 90°, low angle first:
- 28.14 deg, I 23
- 30.71 deg, I 27
- 31.41 deg, I 100
- 32.16 deg, I 46
- 32.23 deg, I 28
- 35.13 deg, I 20